(1)
Computed powder X-ray diffraction pattern of Tb6Y8Pb for Cu Kα, 1.54184 Å, from a cell relaxed with PBE.

Structural model:
```
data_Tb6Y8Pb
_space_group_name_H-M_alt 'P -3'
_space_group_IT_number 147
_space_group_name_Hall '-P 3'
_cell_length_a 9.2044
_cell_length_b 9.2044
_cell_length_c 6.8048
_cell_angle_alpha 90.00
_cell_angle_beta 90.00
_cell_angle_gamma 120.00
loop_
_atom_site_label
_atom_site_fract_x
_atom_site_fract_y
_atom_site_fract_z
Tb1 0.0740 0.6805 0.1057
Y1 0.0173 0.3276 0.3854
Y2 0.3333 0.6667 0.6950
Pb1 0.0000 0.0000 0.0000
```

Largest 6 diffraction maxima, in order of rising 2θ, 10 to 90 degrees two-theta:
2θ = 25.91°, I 37, hkl 0 2 1
2θ = 29.65°, I 26, hkl 2 1 0
2θ = 32.50°, I 71, hkl 2 1 1
2θ = 32.73°, I 100, hkl 2 -1 2
2θ = 33.73°, I 71, hkl 3 0 0
2θ = 51.76°, I 25, hkl 5 -2 1

(2)
Computed powder X-ray diffraction pattern of Tc3Pb for Cu Kα, 1.54184 Å, from a cell relaxed with PBE.

Structural model:
```
data_Tc3Pb
_space_group_name_H-M_alt 'I m m 2'
_space_group_IT_number 44
_space_group_name_Hall 'I 2 -2'
_cell_length_a 3.0117
_cell_length_b 9.2657
_cell_length_c 4.7722
_cell_angle_alpha 90.00
_cell_angle_beta 90.00
_cell_angle_gamma 90.00
loop_
_atom_site_label
_atom_site_fract_x
_atom_site_fract_y
_atom_site_fract_z
Tc1 0.0000 0.0000 0.0000
Tc2 0.0000 0.2691 0.6319
Pb1 0.0000 0.5000 0.0173
```

Largest 6 diffraction maxima, in order of rising 2θ, 10 to 90 degrees two-theta:
2θ = 35.24°, I 15, hkl 1 0 1
2θ = 37.70°, I 20, hkl 0 0 2
2θ = 38.88°, I 30, hkl 0 4 0
2θ = 40.41°, I 100, hkl 1 2 1
2θ = 42.62°, I 24, hkl 0 2 2
2θ = 71.44°, I 16, hkl 1 6 1

(3)
Computed powder X-ray diffraction pattern of TcPb2 for Cu Kα, 1.54184 Å, from a cell relaxed with PBE.

Structural model:
```
data_TcPb2
_space_group_name_H-M_alt 'I 4/m c m'
_space_group_IT_number 140
_space_group_name_Hall '-I 4 2c'
_cell_length_a 7.0345
_cell_length_b 7.0345
_cell_length_c 5.4783
_cell_angle_alpha 90.00
_cell_angle_beta 90.00
_cell_angle_gamma 90.00
loop_
_atom_site_label
_atom_site_fract_x
_atom_site_fract_y
_atom_site_fract_z
Tc1 0.0000 0.0000 0.2500
Pb1 0.1586 0.3414 0.0000
```

Largest 6 diffraction maxima, in order of rising 2θ, 10 to 90 degrees two-theta:
2θ = 32.83°, I 100, hkl 2 1 1
2θ = 37.48°, I 18, hkl 1 1 2
2θ = 40.55°, I 30, hkl 3 1 0
2θ = 41.80°, I 19, hkl 2 0 2
2θ = 58.44°, I 20, hkl 2 1 3
2θ = 65.84°, I 18, hkl 3 3 2